Record 1
For Ac2Ga3Ru, a PBE-relaxed structure gives the simulated PXRD pattern in this record (Cu Kα, 1.54184 Å).

Cell and atoms:
```
data_Ac2Ga3Ru
_chemical_formula_sum 'Ac2 Ga3 Ru1'
_space_group_name_H-M_alt 'P m m 2'
_space_group_IT_number 25
_cell_length_a 4.376
_cell_length_b 4.445
_cell_length_c 7.810
_cell_angle_alpha 90.00
_cell_angle_beta 90.00
_cell_angle_gamma 90.00
loop_
_space_group_symop_operation_xyz
'x,y,z'
'-x,-y,z'
'-x,y,z'
'x,-y,z'
loop_
_atom_site_label
_atom_site_type_symbol
_atom_site_fract_x
_atom_site_fract_y
_atom_site_fract_z
Ac1 Ac 0.000 0.000 0.000
Ac2 Ac 0.500 0.000 0.468
Ga1 Ga 0.000 0.500 0.315
Ga2 Ga 0.000 0.500 0.652
Ga3 Ga 0.500 0.500 0.824
Ru1 Ru 0.500 0.500 0.152
```

Principal peaks in the range 2θ from 10° to 80°, by intensity:
(1 1 1), 2θ 30.87, rel. 100
(0 1 2), 2θ 30.47, rel. 51
(1 0 3), 2θ 40.31, rel. 37
(1 2 3), 2θ 58.54, rel. 25
(2 1 2), 2θ 52.15, rel. 23
(1 0 1), 2θ 23.30, rel. 21
(0 2 0), 2θ 40.59, rel. 19
(2 0 0), 2θ 41.26, rel. 19


Record 2
For BeSe, a PBE-relaxed structure gives the simulated PXRD pattern in this record (Cu Kα, 1.54184 Å).

Cell and atoms:
```
data_BeSe
_chemical_formula_sum 'Be4 Se4'
_space_group_name_H-M_alt 'F -4 3 m'
_space_group_IT_number 216
_space_group_name_Hall 'F -4 2 3'
_cell_length_a 5.182
_cell_length_b 5.182
_cell_length_c 5.182
_cell_angle_alpha 90.00
_cell_angle_beta 90.00
_cell_angle_gamma 90.00
loop_
_atom_site_label
_atom_site_type_symbol
_atom_site_fract_x
_atom_site_fract_y
_atom_site_fract_z
Be1 Be 0.000 0.000 0.000
Se1 Se 0.250 0.250 0.250
```

Principal peaks in the range 2θ from 10° to 80°, by intensity:
(1 1 1), 2θ 29.86, rel. 100
(2 0 0), 2θ 34.62, rel. 43
(3 1 1), 2θ 59.13, rel. 42
(2 2 0), 2θ 49.77, rel. 40
(2 2 2), 2θ 62.04, rel. 10
(4 0 0), 2θ 73.03, rel. 6


Record 3
For Cs2TlBi2, a PBE-relaxed structure gives the simulated PXRD pattern in this record (Cu Kα, 1.54184 Å).

Cell and atoms:
```
data_Cs2TlBi2
_chemical_formula_sum 'Cs4 Tl2 Bi4'
_space_group_name_H-M_alt 'A m m 2'
_space_group_IT_number 38
_cell_length_a 6.065
_cell_length_b 4.730
_cell_length_c 16.592
_cell_angle_alpha 90.00
_cell_angle_beta 90.00
_cell_angle_gamma 90.00
loop_
_space_group_symop_operation_xyz
'x,y,z'
'-x,-y,z'
'-x,y,z'
'x,-y,z'
'x,y+1/2,z+1/2'
'-x,-y+1/2,z+1/2'
'-x,y+1/2,z+1/2'
'x,-y+1/2,z+1/2'
loop_
_atom_site_label
_atom_site_type_symbol
_atom_site_fract_x
_atom_site_fract_y
_atom_site_fract_z
Cs1 Cs 0.000 0.000 0.000
Cs2 Cs 0.000 0.000 0.236
Tl1 Tl 0.500 0.000 0.806
Bi1 Bi 0.500 0.000 0.421
Bi2 Bi 0.500 0.000 0.617
```

Principal peaks in the range 2θ from 10° to 80°, by intensity:
(1 1 1), 2θ 24.46, rel. 100
(0 1 5), 2θ 32.97, rel. 54
(2 1 5), 2θ 44.79, rel. 49
(2 0 0), 2θ 29.46, rel. 41
(1 0 4), 2θ 26.02, rel. 39
(1 0 0), 2θ 14.61, rel. 33
(1 1 3), 2θ 28.87, rel. 22
(0 2 0), 2θ 38.05, rel. 21


Record 4
For TbNd5Er5, a PBE-relaxed structure gives the simulated PXRD pattern in this record (Cu Kα, 1.54184 Å).

Cell and atoms:
```
data_TbNd5Er5
_chemical_formula_sum 'Tb1 Nd5 Er5'
_space_group_name_H-M_alt 'P -6 m 2'
_space_group_IT_number 187
_space_group_name_Hall 'P -6 2'
_cell_length_a 6.0991
_cell_length_b 6.0991
_cell_length_c 11.8013
_cell_angle_alpha 90.00
_cell_angle_beta 90.00
_cell_angle_gamma 120.00
loop_
_atom_site_label
_atom_site_type_symbol
_atom_site_fract_x
_atom_site_fract_y
_atom_site_fract_z
Tb1 Tb 0.0000 0.0000 0.0000
Nd1 Nd 0.0000 0.0000 0.3155
Nd2 Nd 0.3333 0.6667 0.1530
Nd3 Nd 0.6667 0.3333 0.0000
Er1 Er 0.9996 0.4998 0.5000
Er2 Er 0.6667 0.3333 0.2659
```

Principal peaks in the range 2θ from 10° to 80°, by intensity:
(1 0 3), 2θ 28.29, rel. 100
(1 1 0), 2θ 29.29, rel. 86
(1 0 4), 2θ 34.82, rel. 71
(2 0 2), 2θ 37.31, rel. 56
(0 0 4), 2θ 30.28, rel. 52
(2 1 3), 2θ 51.32, rel. 39
(0 0 6), 2θ 46.13, rel. 36
(2 2 0), 2θ 60.74, rel. 29


Record 5
For ZrPa3Te6, a PBE-relaxed structure gives the simulated PXRD pattern in this record (Cu Kα, 1.54184 Å).

Cell and atoms:
```
data_ZrPa3Te6
_chemical_formula_sum 'Zr2 Pa6 Te12'
_space_group_name_H-M_alt 'C m m m'
_space_group_IT_number 65
_space_group_name_Hall '-C 2 2'
_cell_length_a 11.122
_cell_length_b 15.519
_cell_length_c 4.266
_cell_angle_alpha 90.00
_cell_angle_beta 90.00
_cell_angle_gamma 90.00
loop_
_atom_site_label
_atom_site_type_symbol
_atom_site_fract_x
_atom_site_fract_y
_atom_site_fract_z
Zr1 Zr 0.000 0.000 0.000
Pa1 Pa 0.000 0.500 0.000
Pa2 Pa 0.250 0.250 0.500
Te1 Te 0.000 0.143 0.500
Te2 Te 0.219 0.387 0.000
```

Principal peaks in the range 2θ from 10° to 80°, by intensity:
(2 4 1), 2θ 35.18, rel. 100
(0 2 1), 2θ 23.80, rel. 53
(2 2 0), 2θ 19.64, rel. 43
(4 0 0), 2θ 32.19, rel. 29
(4 2 1), 2θ 40.43, rel. 26
(2 6 0), 2θ 38.38, rel. 24
(1 1 1), 2θ 23.05, rel. 18
(0 0 2), 2θ 42.37, rel. 17


Record 6
For CaAc3La4, a PBE-relaxed structure gives the simulated PXRD pattern in this record (Cu Kα, 1.54184 Å).

Cell and atoms:
```
data_CaAc3La4
_chemical_formula_sum 'Ca2 Ac6 La8'
_space_group_name_H-M_alt 'C 1 2/m 1'
_space_group_IT_number 12
_cell_length_a 12.128
_cell_length_b 5.494
_cell_length_c 10.888
_cell_angle_alpha 90.00
_cell_angle_beta 116.79
_cell_angle_gamma 90.00
loop_
_space_group_symop_operation_xyz
'x,y,z'
'-x,-y,-z'
'-x,y,-z'
'x,-y,z'
'x+1/2,y+1/2,z'
'-x+1/2,-y+1/2,-z'
'-x+1/2,y+1/2,-z'
'x+1/2,-y+1/2,z'
loop_
_atom_site_label
_atom_site_type_symbol
_atom_site_fract_x
_atom_site_fract_y
_atom_site_fract_z
Ca1 Ca 0.000 0.000 0.000
Ac1 Ac 0.000 0.000 0.500
Ac2 Ac 0.000 0.500 0.252
La1 La 0.246 0.000 0.873
La2 La 0.248 0.500 0.623
```

Principal peaks in the range 2θ from 10° to 80°, by intensity:
(1 1 2), 2θ 28.36, rel. 100
(0 2 0), 2θ 32.60, rel. 17
(2 0 -4), 2θ 32.91, rel. 17
(4 0 0), 2θ 33.10, rel. 17
(1 3 2), 2θ 55.60, rel. 16
(5 1 -6), 2θ 56.01, rel. 15
(5 1 2), 2θ 56.26, rel. 15
(2 2 4), 2θ 58.68, rel. 13


Record 7
For Cs2Cu3P4O14, a PBE-relaxed structure gives the simulated PXRD pattern in this record (Cu Kα, 1.54184 Å).

Cell and atoms:
```
data_Cs2Cu3P4O14
_chemical_formula_sum 'Cs4 Cu6 P8 O28'
_space_group_name_H-M_alt 'P 1 21/c 1'
_space_group_IT_number 14
_cell_length_a 8.059
_cell_length_b 11.348
_cell_length_c 7.875
_cell_angle_alpha 90.00
_cell_angle_beta 104.93
_cell_angle_gamma 90.00
loop_
_space_group_symop_operation_xyz
'x,y,z'
'-x,-y,-z'
'-x,y+1/2,-z+1/2'
'x,-y+1/2,z+1/2'
loop_
_atom_site_label
_atom_site_type_symbol
_atom_site_fract_x
_atom_site_fract_y
_atom_site_fract_z
Cs1 Cs 0.247 0.183 0.465
Cu1 Cu 0.000 0.000 0.000
Cu2 Cu 0.285 0.611 0.270
P1 P 0.138 0.657 0.843
P2 P 0.383 0.545 0.664
O1 O 0.005 0.096 0.795
O2 O 0.110 0.708 0.337
O3 O 0.153 0.603 0.023
O4 O 0.238 0.046 0.107
O5 O 0.321 0.641 0.792
O6 O 0.423 0.618 0.516
O7 O 0.456 0.508 0.211
```

Principal peaks in the range 2θ from 10° to 80°, by intensity:
(0 3 1), 2θ 26.31, rel. 100
(2 2 -1), 2θ 27.78, rel. 95
(1 1 2), 2θ 29.73, rel. 81
(1 1 -2), 2θ 24.53, rel. 76
(1 2 1), 2θ 24.14, rel. 74
(1 2 -2), 2θ 28.11, rel. 62
(1 3 0), 2θ 26.19, rel. 52
(2 0 0), 2θ 22.84, rel. 51


Record 8
For CeCoCl6, a PBE-relaxed structure gives the simulated PXRD pattern in this record (Cu Kα, 1.54184 Å).

Cell and atoms:
```
data_CeCoCl6
_chemical_formula_sum 'Ce2 Co2 Cl12'
_space_group_name_H-M_alt 'C 1 2/m 1'
_space_group_IT_number 12
_cell_length_a 6.289
_cell_length_b 12.444
_cell_length_c 6.281
_cell_angle_alpha 90.00
_cell_angle_beta 107.72
_cell_angle_gamma 90.00
loop_
_space_group_symop_operation_xyz
'x,y,z'
'-x,-y,-z'
'-x,y,-z'
'x,-y,z'
'x+1/2,y+1/2,z'
'-x+1/2,-y+1/2,-z'
'-x+1/2,y+1/2,-z'
'x+1/2,-y+1/2,z'
loop_
_atom_site_label
_atom_site_type_symbol
_atom_site_fract_x
_atom_site_fract_y
_atom_site_fract_z
Ce1 Ce 0.000 0.000 0.000
Co1 Co 0.000 0.500 0.500
Cl1 Cl 0.228 0.360 0.730
Cl2 Cl 0.242 0.500 0.260
```

Principal peaks in the range 2θ from 10° to 80°, by intensity:
(0 2 0), 2θ 14.23, rel. 100
(1 1 -1), 2θ 18.88, rel. 83
(1 3 1), 2θ 32.40, rel. 74
(1 3 -3), 2θ 48.71, rel. 39
(1 5 1), 2θ 43.82, rel. 30
(2 0 -2), 2θ 35.37, rel. 29
(1 1 1), 2θ 25.07, rel. 28
(0 4 2), 2θ 41.88, rel. 28